Starting from a crystal structure in OQMD, relaxed with PBE, the X-ray powder pattern of HoOF was calculated for copper Kα.

Main lines, in order of falling intensity (5° ≤ 2θ ≤ 70°):
- d = 3.124 Å, 2θ 28.57, intensity 100, hkl 1 2 2
- d = 1.890 Å, 2θ 48.14, intensity 25, hkl 0 4 4
- d = 1.610 Å, 2θ 57.21, intensity 13, hkl 1 2 6
- d = 2.657 Å, 2θ 33.73, intensity 13, hkl 0 0 4
- d = 1.625 Å, 2θ 56.63, intensity 11, hkl 1 6 2
- d = 2.693 Å, 2θ 33.28, intensity 10, hkl 0 4 0

Atomic structure:
```
data_HoOF
_chemical_formula_sum 'Ho16 O16 F16'
_symmetry_space_group_name_H-M 'P b c a'
_symmetry_Int_Tables_number 61
_symmetry_space_group_name_Hall '-P 2ac 2ab'
_cell_length_a 5.5435
_cell_length_b 10.7702
_cell_length_c 10.6284
_cell_angle_alpha 90.00
_cell_angle_beta 90.00
_cell_angle_gamma 90.00
loop_
_atom_site_label
_atom_site_fract_x
_atom_site_fract_y
_atom_site_fract_z
_atom_site_occupancy
Ho1 0.1639 0.0276 0.1343 1
Ho2 0.1809 0.2358 0.3875 1
O1 0.0632 0.6299 0.5050 1
O2 0.0720 0.6440 0.2429 1
F1 0.0723 0.6166 0.9879 1
F2 0.1111 0.1022 0.7570 1
```